1.
For Mg3Si4, a DFT-relaxed cell (GGA-PBE, Alexandria) gives the simulated PXRD pattern in this record (Cu Kα (weighted mean of Kα1 and Kα2)).
Kinematic intensities with the Lorentz-polarization factor, no thermal factor.

The 6 most intense peaks (15° ≤ 2θ ≤ 90°), by angle:
| 2θ/deg | Rel. int. |
| --- | --- |
| 30.4 | 52 |
| 32.1 | 73 |
| 35.0 | 58 |
| 36.0 | 91 |
| 36.9 | 52 |
| 37.9 | 100 |

Structure:
Cell lengths 6.0445, 6.6607, 7.4161 Å; angles 113.75, 90.45, 104.15 degrees
Positions (direct):
Mg 0.0000 0.0000 0.0000
Mg 0.0484 0.4576 0.9663
Mg 0.2098 0.0217 0.6255
Mg 0.4296 0.7908 0.8770
Mg 0.6614 0.6806 0.4690
Mg 0.8320 0.1271 0.4046
Si 0.0192 0.6043 0.6518
Si 0.1614 0.4508 0.3346
Si 0.3509 0.8050 0.2522
Si 0.4096 0.2098 0.3247
Si 0.4643 0.2868 0.0272
Si 0.6248 0.4214 0.6908
Si 0.6877 0.6870 0.1085
Si 0.6943 0.1035 0.7640

2.
For Sm3MgSi4, a DFT-relaxed cell (GGA-PBE, Alexandria) gives the simulated PXRD pattern in this record (Cu Kα (weighted mean of Kα1 and Kα2)).
Kinematic intensities with the Lorentz-polarization factor, no thermal factor.

The 6 most intense peaks (15° ≤ 2θ ≤ 90°), by angle:
| 2θ/deg | Rel. int. |
| --- | --- |
| 22.8 | 69 |
| 28.2 | 100 |
| 29.8 | 21 |
| 36.0 | 39 |
| 37.1 | 26 |
| 54.6 | 22 |

Structure:
Cell lengths 4.2610, 5.9941, 15.3829 Å; angles 90.00, 90.00, 90.00 degrees
Positions (direct):
Sm 0.0000 0.0000 0.0000
Sm 0.0000 0.5000 0.1910
Sm 0.0000 0.5000 0.8090
Sm 0.5000 0.0000 0.3090
Sm 0.5000 0.0000 0.6910
Sm 0.5000 0.5000 0.5000
Mg 0.0000 0.0000 0.5000
Mg 0.5000 0.5000 0.0000
Si 0.0000 0.3080 0.3726
Si 0.0000 0.3080 0.6274
Si 0.0000 0.6920 0.3726
Si 0.0000 0.6920 0.6274
Si 0.5000 0.1920 0.1274
Si 0.5000 0.1920 0.8726
Si 0.5000 0.8080 0.1274
Si 0.5000 0.8080 0.8726

3.
For Sm3MgSi6, a DFT-relaxed cell (GGA-PBE, Alexandria) gives the simulated PXRD pattern in this record (Cu Kα (weighted mean of Kα1 and Kα2)).
Kinematic intensities with the Lorentz-polarization factor, no thermal factor.

The 6 most intense peaks (15° ≤ 2θ ≤ 90°), by angle:
| 2θ/deg | Rel. int. |
| --- | --- |
| 15.6 | 39 |
| 24.3 | 42 |
| 29.0 | 47 |
| 33.8 | 100 |
| 36.7 | 42 |
| 37.5 | 49 |

Structure:
Cell lengths 7.5243, 7.5243, 7.5243 Å; angles 98.29, 98.29, 98.29 degrees
Positions (direct):
Sm 0.1887 0.7500 0.3113
Sm 0.2500 0.6887 0.8113
Sm 0.3113 0.1887 0.7500
Sm 0.6887 0.8113 0.2500
Sm 0.7500 0.3113 0.1887
Sm 0.8113 0.2500 0.6887
Mg 0.0000 0.0000 0.0000
Mg 0.5000 0.5000 0.5000
Si 0.0193 0.0920 0.3835
Si 0.0920 0.3835 0.0193
Si 0.1165 0.4080 0.4807
Si 0.3835 0.0193 0.0920
Si 0.4080 0.4807 0.1165
Si 0.4807 0.1165 0.4080
Si 0.5193 0.8835 0.5920
Si 0.5920 0.5193 0.8835
Si 0.6165 0.9807 0.9080
Si 0.8835 0.5920 0.5193
Si 0.9080 0.6165 0.9807
Si 0.9807 0.9080 0.6165

4.
For SmYMgSi, a DFT-relaxed cell (GGA-PBE, Alexandria) gives the simulated PXRD pattern in this record (Cu Kα (weighted mean of Kα1 and Kα2)).
Kinematic intensities with the Lorentz-polarization factor, no thermal factor.

The 6 most intense peaks (15° ≤ 2θ ≤ 90°), by angle:
| 2θ/deg | Rel. int. |
| --- | --- |
| 24.5 | 49 |
| 34.9 | 100 |
| 50.2 | 18 |
| 56.6 | 20 |
| 62.6 | 36 |
| 84.2 | 15 |

Structure:
Cell lengths 7.2711, 7.2711, 7.2711 Å; angles 90.00, 90.00, 90.00 degrees
Positions (direct):
Sm 0.0000 0.0000 0.0000
Sm 0.0000 0.5000 0.5000
Sm 0.5000 0.0000 0.5000
Sm 0.5000 0.5000 0.0000
Y 0.0000 0.0000 0.5000
Y 0.0000 0.5000 0.0000
Y 0.5000 0.0000 0.0000
Y 0.5000 0.5000 0.5000
Mg 0.2500 0.2500 0.2500
Mg 0.2500 0.7500 0.7500
Mg 0.7500 0.2500 0.7500
Mg 0.7500 0.7500 0.2500
Si 0.2500 0.2500 0.7500
Si 0.2500 0.7500 0.2500
Si 0.7500 0.2500 0.2500
Si 0.7500 0.7500 0.7500

5.
For MgSi2Sn2, a DFT-relaxed cell (GGA-PBE, Alexandria) gives the simulated PXRD pattern in this record (Cu Kα (weighted mean of Kα1 and Kα2)).
Kinematic intensities with the Lorentz-polarization factor, no thermal factor.

The 6 most intense peaks (15° ≤ 2θ ≤ 90°), by angle:
| 2θ/deg | Rel. int. |
| --- | --- |
| 16.7 | 100 |
| 27.5 | 56 |
| 27.7 | 43 |
| 33.2 | 46 |
| 33.4 | 65 |
| 33.7 | 42 |

Structure:
Cell lengths 3.9857, 5.5700, 5.6463 Å; angles 73.31, 78.44, 84.11 degrees
Positions (direct):
Mg 0.0000 0.0000 0.0000
Si 0.2837 0.4653 0.8915
Si 0.7068 0.5384 0.1102
Sn 0.3073 0.8174 0.4528
Sn 0.6872 0.1878 0.5492

6.
For Mg14SiSn, a DFT-relaxed cell (GGA-PBE, Alexandria) gives the simulated PXRD pattern in this record (Cu Kα (weighted mean of Kα1 and Kα2)).
Kinematic intensities with the Lorentz-polarization factor, no thermal factor.

The 6 most intense peaks (15° ≤ 2θ ≤ 90°), by angle:
| 2θ/deg | Rel. int. |
| --- | --- |
| 16.0 | 20 |
| 18.3 | 23 |
| 32.4 | 27 |
| 35.9 | 24 |
| 37.2 | 100 |
| 69.9 | 19 |

Structure:
Cell lengths 6.3860, 6.3860, 9.9993 Å; angles 90.00, 90.00, 120.00 degrees
Positions (direct):
Mg 0.0000 0.0000 0.2491
Mg 0.0000 0.0000 0.7509
Mg 0.0025 0.5012 0.2584
Mg 0.0025 0.5012 0.7416
Mg 0.3294 0.1647 0.5000
Mg 0.3355 0.1677 0.0000
Mg 0.4988 0.5012 0.2584
Mg 0.4988 0.5012 0.7416
Mg 0.4988 0.9975 0.2584
Mg 0.4988 0.9975 0.7416
Mg 0.8323 0.1677 0.0000
Mg 0.8323 0.6645 0.0000
Mg 0.8353 0.1647 0.5000
Mg 0.8353 0.6706 0.5000
Si 0.3333 0.6667 0.5000
Sn 0.3333 0.6667 0.0000